Computed X-ray diffraction stick pattern
Compound: BaCrAg2F6
Radiation: CuKα
Structure: a structure optimized by DFT (PBE+U)

Structural model:
abc: 5.8149 9.0921 7.0938
angles: 90.00 90.00 90.00
Space group Pmmn (No. 59, origin choice 2)
One atom of each set of equivalent atoms:
Ba 0.2500 0.2500 0.1965
Cr 0.2500 0.7500 0.2779
Ag 0.2500 0.0291 0.6290
F 0.0140 0.7500 0.0879
F 0.0152 0.7500 0.4817
F 0.2500 0.5334 0.2718

Main lines, by intensity (10 to 80 degrees two-theta):
- d 3.197, I = 100
- d 3.028, I = 39
- d 7.094, I = 33
- d 2.907, I = 31
- d 3.828, I = 29
- d 2.273, I = 23
- d 2.013, I = 20
- d 2.190, I = 17
- d 2.315, I = 17
- d 4.899, I = 16
- d 1.729, I = 15
- d 2.098, I = 15